# ZnI6
Simulated powder diffractogram, a wavelength of 1.5418 Å. Input: the PBE geometry in OQMD.
Kinematic intensities with the Lorentz-polarization factor, no thermal factor.

Peak list (10 most intense, 2θ from 10° to 90°, in order of rising 2θ)
2theta  I_rel
21.3  100
22.8  60
23.1  71
30.7  26
33.6  16
35.4  18
35.9  19
36.6  18
38.1  16
41.4  27

Atomic structure:
a = 4.746 Å, b = 7.711 Å, c = 9.360 Å
α = 91.32°, β = 92.92°, γ = 94.34°
Space group P-1 (No. 2)
One atom of each set of equivalent atoms:
Zn: 0.000 0.000 0.000
I: 0.174 0.260 0.766
I: 0.210 0.237 0.468
I: 0.315 0.233 0.136